Starting from a structure optimized by DFT (GGA-PBE), the powder X-ray diffraction pattern of LaPm3Nd7 was simulated for copper Kα.
Kinematic intensities with the Lorentz-polarization factor, no thermal factor.

Crystal structure
Lattice parameters (Å, degrees): 11.968 10.296 6.540 90.00 95.72 90.00
Space group C2/m (No. 12)
Asymmetric unit:
La 0.000 0.000 0.000 x2
Pm 0.000 0.328 0.500 x4
Pm 0.000 0.500 0.000 x2
Nd 0.000 0.000 0.500 x2
Nd 0.236 0.500 0.711 x4
Nd 0.249 0.175 0.760 x8

Most intense lines, 2θ from 15° to 90°, in order of falling intensity:
2θ (°)	I_rel	index
30.0	100.0	4 0 0
30.7	59.3	1 3 1
36.4	40.7	3 3 -1
32.6	38.8	2 0 2
49.7	28.7	5 3 1
62.4	27.6	4 6 0
51.5	10.5	6 0 -2
64.0	10.1	2 6 2
27.4	9.5	2 2 1
53.4	9.1	0 6 0
57.1	8.9	3 3 3
81.6	8.8	6 6 2


Starting from a structure optimized by DFT (GGA-PBE), the powder X-ray diffraction pattern of La5PmNd3 was simulated for copper Kα.
Kinematic intensities with the Lorentz-polarization factor, no thermal factor.

Crystal structure
Lattice parameters (Å, degrees): 9.023 9.023 16.005 90.00 90.00 90.00
Space group I4/mcm (No. 140)
Asymmetric unit:
La 0.000 0.000 0.000 x4
La 0.202 0.298 0.138 x16
Pm 0.000 0.500 0.250 x4
Nd 0.000 0.000 0.250 x4
Nd 0.118 0.382 0.500 x8

Most intense lines, 2θ from 15° to 90°, in order of falling intensity:
2θ (°)	I_rel	index
29.8	100.0	2 0 4
27.7	64.4	2 1 3
28.0	49.2	2 2 0
41.6	24.5	4 0 2
36.3	18.9	3 2 1
50.7	18.2	4 2 4
31.4	17.8	3 1 0
35.8	14.5	2 1 5
45.3	13.5	0 0 8
44.8	13.0	4 1 3
54.1	12.6	2 2 8
33.3	12.0	3 1 2


Starting from a structure optimized by DFT (GGA-PBE), the powder X-ray diffraction pattern of La6Pm3Nd2 was simulated for copper Kα.
Kinematic intensities with the Lorentz-polarization factor, no thermal factor.

Crystal structure
Lattice parameters (Å, degrees): 6.437 8.259 8.261 107.34 96.99 104.92
Space group P-1 (No. 2)
Asymmetric unit:
La 0.047 0.182 0.410 x2
La 0.136 0.546 0.229 x2
La 0.320 0.273 0.865 x2
Pm 0.409 0.638 0.682 x2
Pm 0.500 0.000 0.500 x1
Nd 0.227 0.910 0.047 x2

Most intense lines, 2θ from 15° to 90°, in order of falling intensity:
2θ (°)	I_rel	index
29.5	100.0	1 2 -1
34.4	44.7	1 1 -3
29.5	33.5	0 1 2
49.1	24.5	1 3 1
58.5	24.0	2 -5 2
34.0	23.0	2 0 1
58.1	19.7	3 2 0
49.4	16.0	0 4 -3
58.6	14.3	3 0 -4
61.3	12.5	2 4 -2
79.6	9.8	2 5 0
49.2	8.1	3 1 -2


Starting from a structure optimized by DFT (GGA-PBE), the powder X-ray diffraction pattern of La4PmNd6 was simulated for copper Kα.
Kinematic intensities with the Lorentz-polarization factor, no thermal factor.

Crystal structure
Lattice parameters (Å, degrees): 6.976 6.976 16.713 90.00 90.00 90.00
Space group I-42m (No. 121)
Asymmetric unit:
La 0.188 0.188 0.320 x8
Pm 0.000 0.000 0.500 x2
Nd 0.000 0.500 0.000 x4
Nd 0.167 0.167 0.114 x8

Most intense lines, 2θ from 15° to 90°, in order of falling intensity:
2θ (°)	I_rel	index
29.1	100.0	2 1 1
28.0	57.8	1 1 4
27.7	57.8	2 0 2
33.5	53.9	2 0 4
29.6	39.0	1 0 5
54.5	26.4	4 1 1
37.1	26.1	1 1 6
36.4	25.2	2 2 0
32.9	21.6	2 1 3
54.8	21.0	3 2 5
47.6	19.5	3 0 5
40.9	19.0	3 1 0


Starting from a structure optimized by DFT (GGA-PBE), the powder X-ray diffraction pattern of La4PmNd6 was simulated for copper Kα.
Kinematic intensities with the Lorentz-polarization factor, no thermal factor.

Crystal structure
Lattice parameters (Å, degrees): 11.2046 11.2046 3.6684 90.00 90.00 120.00
Space group P-6m2 (No. 187)
Asymmetric unit:
La 0.0000 0.0000 0.0000 x1
La 0.5087 0.0175 0.5000 x3
Pm 0.6667 0.3333 0.0000 x1
Nd 0.1987 0.3974 0.0000 x3
Nd 0.2973 0.1487 0.5000 x3

Most intense lines, 2θ from 15° to 90°, in order of falling intensity:
2θ (°)	I_rel	index
31.9	100.0	2 2 0
30.6	99.5	2 0 1
34.6	42.2	2 1 1
27.6	32.5	3 0 0
60.3	32.3	2 2 2
49.7	31.8	0 0 2
29.1	31.0	1 1 1
44.8	19.9	4 0 1
24.3	18.3	2 1 0
81.1	18.2	2 0 3
53.4	18.1	5 0 1
56.1	15.1	4 2 1


Starting from a structure optimized by DFT (GGA-PBE), the powder X-ray diffraction pattern of La3Pm4Nd2 was simulated for copper Kα.
Kinematic intensities with the Lorentz-polarization factor, no thermal factor.

Crystal structure
Lattice parameters (Å, degrees): 6.387 6.389 9.758 90.02 108.92 119.95
Space group P-1 (No. 2)
Asymmetric unit:
La 0.000 0.000 0.000 x1
La 0.445 0.557 0.667 x2
Pm 0.113 0.890 0.667 x2
Pm 0.333 0.668 0.000 x2
Nd 0.222 0.777 0.333 x2

Most intense lines, 2θ from 15° to 90°, in order of falling intensity:
2θ (°)	I_rel	index
29.6	100.0	1 1 0
34.3	33.9	2 -1 1
58.7	25.3	3 -3 2
49.4	24.2	3 0 -2
34.4	16.9	1 1 -3
49.3	12.2	1 1 3
58.6	10.9	3 0 1
82.8	8.2	5 -4 0
80.1	7.3	4 1 -2
58.8	7.2	3 0 -5
61.5	6.3	2 2 0
61.6	6.2	2 -4 2


Starting from a structure optimized by DFT (GGA-PBE), the powder X-ray diffraction pattern of La2PmNd12 was simulated for copper Kα.
Kinematic intensities with the Lorentz-polarization factor, no thermal factor.

Crystal structure
Lattice parameters (Å, degrees): 6.641 6.641 25.658 90.00 90.00 90.00
Space group P4/nbm (No. 125, origin choice 2)
Asymmetric unit:
La 0.250 0.750 0.234 x4
Pm 0.250 0.750 0.500 x2
Nd 0.063 0.563 0.386 x8
Nd 0.082 0.582 0.938 x8
Nd 0.250 0.250 0.162 x4
Nd 0.250 0.250 0.285 x4

Most intense lines, 2θ from 15° to 90°, in order of falling intensity:
2θ (°)	I_rel	index
30.9	100.0	1 1 7
27.8	44.6	2 0 2
30.3	37.4	2 0 4
31.4	33.5	0 0 9
38.3	31.8	2 2 0
28.8	30.0	2 0 3
54.2	26.5	3 1 9
33.2	26.1	2 1 4
34.9	25.0	2 1 5
20.1	23.1	1 1 2
39.0	21.7	2 1 7
49.7	17.4	2 1 11


Starting from a structure optimized by DFT (GGA-PBE), the powder X-ray diffraction pattern of La8Pm3Nd3 was simulated for copper Kα.
Kinematic intensities with the Lorentz-polarization factor, no thermal factor.

Crystal structure
Lattice parameters (Å, degrees): 5.824 11.076 15.642 90.00 90.00 90.00
Space group Immm (No. 71)
Asymmetric unit:
La 0.000 0.158 0.227 x8
La 0.000 0.338 0.395 x8
Pm 0.000 0.000 0.000 x2
Pm 0.000 0.302 0.000 x4
Nd 0.000 0.000 0.500 x2
Nd 0.000 0.500 0.178 x4

Most intense lines, 2θ from 15° to 90°, in order of falling intensity:
2θ (°)	I_rel	index
30.9	100.0	1 3 2
30.7	52.8	2 0 0
32.5	47.7	1 0 5
28.7	40.5	1 1 4
29.7	33.5	0 3 3
43.2	24.0	2 3 3
54.7	19.9	3 3 2
28.1	18.5	1 2 3
60.3	14.9	1 6 5
59.3	14.3	2 6 0
49.4	13.0	0 6 0
36.4	11.1	1 4 1


Starting from a structure optimized by DFT (GGA-PBE), the powder X-ray diffraction pattern of La5Pm4Nd3 was simulated for copper Kα.
Kinematic intensities with the Lorentz-polarization factor, no thermal factor.

Crystal structure
Lattice parameters (Å, degrees): 6.404 7.373 9.077 90.21 90.05 90.08
Space group P-1 (No. 2)
Asymmetric unit:
La 0.000 0.000 0.000 x1
La 0.332 0.500 0.334 x2
La 0.500 0.249 0.000 x2
Pm 0.167 0.752 0.666 x2
Pm 0.334 0.000 0.335 x2
Nd 0.000 0.500 0.000 x1
Nd 0.167 0.249 0.665 x2

Most intense lines, 2θ from 15° to 90°, in order of falling intensity:
2θ (°)	I_rel	index
29.6	100.0	2 0 1
29.6	99.3	1 2 -1
34.3	67.7	2 0 -2
49.3	36.2	3 2 0
58.5	36.1	1 2 5
34.4	33.5	1 2 2
49.2	24.3	2 0 4
58.4	21.8	3 -2 3
58.6	14.4	3 2 3
58.8	14.3	2 4 1
61.5	12.4	2 4 -2
49.4	12.0	0 4 0


Starting from a structure optimized by DFT (GGA-PBE), the powder X-ray diffraction pattern of La4PmNd4 was simulated for copper Kα.
Kinematic intensities with the Lorentz-polarization factor, no thermal factor.

Crystal structure
Lattice parameters (Å, degrees): 11.092 11.092 5.259 90.00 90.00 90.00
Space group I4/mmm (No. 139)
Asymmetric unit:
La 0.167 0.167 0.000 x8
Pm 0.000 0.000 0.500 x2
Nd 0.000 0.334 0.500 x8

Most intense lines, 2θ from 15° to 90°, in order of falling intensity:
2θ (°)	I_rel	index
29.5	100.0	3 0 1
34.3	33.6	3 3 0
58.5	28.8	6 3 1
49.1	24.4	3 3 2
34.1	17.1	0 0 2
58.3	14.6	3 0 3
61.3	12.5	6 0 2
49.3	12.1	6 0 0
79.7	11.7	6 3 3
80.0	5.8	9 0 1
82.0	5.5	3 3 4
82.4	5.4	6 6 2


Starting from a structure optimized by DFT (GGA-PBE), the powder X-ray diffraction pattern of La5Pm12Nd2 was simulated for copper Kα.
Kinematic intensities with the Lorentz-polarization factor, no thermal factor.

Crystal structure
Lattice parameters (Å, degrees): 13.269 11.843 9.614 90.00 116.23 90.00
Space group C2/m (No. 12)
Asymmetric unit:
La 0.000 0.000 0.000 x2
La 0.186 0.500 0.729 x4
La 0.195 0.000 0.830 x4
Pm 0.077 0.500 0.285 x4
Pm 0.105 0.276 0.919 x8
Pm 0.120 0.000 0.444 x4
Pm 0.195 0.248 0.307 x8
Nd 0.000 0.264 0.500 x4

Most intense lines, 2θ from 15° to 90°, in order of falling intensity:
2θ (°)	I_rel	index
31.0	100.0	4 2 -1
30.2	71.0	0 4 0
31.8	53.7	2 2 -3
30.5	33.0	2 0 2
54.1	29.6	4 6 -1
43.5	21.9	2 4 2
33.8	18.4	1 3 2
26.0	15.2	1 1 2
64.7	10.3	8 4 -2
48.6	9.8	3 5 -3
54.6	9.6	2 6 -3
55.7	9.4	8 0 -2


Starting from a structure optimized by DFT (GGA-PBE), the powder X-ray diffraction pattern of LaPm3Nd8 was simulated for copper Kα.
Kinematic intensities with the Lorentz-polarization factor, no thermal factor.

Crystal structure
Lattice parameters (Å, degrees): 6.370 6.393 11.042 73.25 89.98 80.59
Space group P-1 (No. 2)
Asymmetric unit:
La 0.000 0.000 0.000 x1
Pm 0.250 0.498 0.251 x2
Pm 0.500 0.000 0.500 x1
Nd 0.000 0.001 0.666 x2
Nd 0.250 0.500 0.917 x2
Nd 0.251 0.500 0.583 x2
Nd 0.500 0.001 0.832 x2

Most intense lines, 2θ from 15° to 90°, in order of falling intensity:
2θ (°)	I_rel	index
29.7	100.0	1 0 3
34.4	67.5	1 2 3
29.8	33.1	2 1 0
49.5	32.2	3 1 3
58.7	29.0	1 4 3
58.9	24.0	4 0 0
49.4	16.3	1 -2 3
80.4	11.7	5 2 3
82.9	10.9	5 0 3
61.7	8.3	2 0 6
80.2	5.9	2 5 0
82.7	5.5	0 5 6